Entry 1:
For Li2V3CoO8, the GGA+U geometry in the Materials Project gives the calculated powder diffractogram in this record (λ = 1.5418 Å (Cu Kα)).

The 8 most intense peaks (10 to 90 degrees two-theta), most intense first:
| 2θ (°) | intensity |
| --- | --- |
| 18.26 | 100.0 |
| 42.83 | 48.1 |
| 35.27 | 29.2 |
| 18.38 | 25.8 |
| 43.56 | 22.6 |
| 62.54 | 14.0 |
| 62.95 | 13.3 |
| 35.40 | 10.0 |

abc: 5.941 5.942 10.190
angles: 73.95 73.92 60.42
Sites, in units of the cell vectors:
Li (0.000, 0.000, 0.000)
Li (0.126, 0.125, 0.636)
Li (0.500, 0.498, 0.508)
Li (0.626, 0.624, 0.129)
V (0.056, 0.560, 0.322)
V (0.066, 0.563, 0.818)
V (0.067, 0.055, 0.322)
V (0.561, 0.066, 0.322)
V (0.565, 0.064, 0.818)
V (0.566, 0.565, 0.813)
Co (0.308, 0.307, 0.065)
Co (0.816, 0.815, 0.570)
O (0.152, 0.699, 0.438)
O (0.193, 0.664, 0.929)
O (0.194, 0.193, 0.430)
O (0.201, 0.201, 0.921)
O (0.403, 0.954, 0.215)
O (0.428, 0.403, 0.216)
O (0.430, 0.427, 0.708)
O (0.484, 0.926, 0.693)
O (0.664, 0.191, 0.930)
O (0.697, 0.696, 0.925)
O (0.699, 0.721, 0.437)
O (0.724, 0.150, 0.438)
O (0.921, 0.917, 0.697)
O (0.925, 0.482, 0.693)
O (0.929, 0.928, 0.214)
O (0.956, 0.425, 0.215)



Entry 2:
For Li2V3CoO8, the GGA+U geometry in the Materials Project gives the calculated powder diffractogram in this record (λ = 1.5418 Å (Cu Kα)).

The 8 most intense peaks (10 to 90 degrees two-theta), most intense first:
| 2θ (°) | intensity |
| --- | --- |
| 35.35 | 100.0 |
| 35.45 | 97.4 |
| 18.27 | 79.7 |
| 62.41 | 68.5 |
| 43.09 | 47.2 |
| 30.05 | 45.4 |
| 14.90 | 42.7 |
| 23.65 | 42.5 |

abc: 8.392 8.404 8.436
angles: 90.01 90.00 90.06
Sites, in units of the cell vectors:
Li (0.000, 0.000, 0.000)
Li (0.001, 0.502, 0.502)
Li (0.126, 0.379, 0.123)
Li (0.377, 0.876, 0.878)
Li (0.500, 0.500, 0.001)
Li (0.504, 0.998, 0.504)
Li (0.626, 0.626, 0.376)
Li (0.878, 0.126, 0.625)
V (0.129, 0.628, 0.874)
V (0.130, 0.132, 0.378)
V (0.130, 0.876, 0.629)
V (0.369, 0.127, 0.128)
V (0.375, 0.627, 0.629)
V (0.380, 0.375, 0.372)
V (0.624, 0.126, 0.874)
V (0.626, 0.872, 0.130)
V (0.630, 0.372, 0.629)
V (0.874, 0.627, 0.129)
V (0.874, 0.876, 0.374)
V (0.875, 0.372, 0.874)
Co (0.250, 0.252, 0.752)
Co (0.252, 0.750, 0.249)
Co (0.751, 0.751, 0.750)
Co (0.753, 0.251, 0.249)
O (0.108, 0.392, 0.872)
O (0.110, 0.630, 0.106)
O (0.118, 0.853, 0.856)
O (0.119, 0.893, 0.385)
O (0.129, 0.107, 0.614)
O (0.136, 0.636, 0.637)
O (0.146, 0.349, 0.385)
O (0.152, 0.119, 0.141)
O (0.354, 0.856, 0.620)
O (0.357, 0.617, 0.852)
O (0.368, 0.134, 0.365)
O (0.369, 0.606, 0.395)
O (0.384, 0.359, 0.149)
O (0.387, 0.386, 0.615)
O (0.395, 0.130, 0.893)
O (0.396, 0.886, 0.126)
O (0.607, 0.608, 0.630)
O (0.610, 0.115, 0.117)
O (0.610, 0.371, 0.394)
O (0.620, 0.148, 0.646)
O (0.635, 0.896, 0.894)
O (0.636, 0.366, 0.865)
O (0.645, 0.882, 0.353)
O (0.650, 0.645, 0.117)
O (0.853, 0.147, 0.885)
O (0.856, 0.385, 0.648)
O (0.867, 0.866, 0.137)
O (0.873, 0.395, 0.110)
O (0.886, 0.650, 0.356)
O (0.887, 0.614, 0.887)
O (0.895, 0.108, 0.372)
O (0.895, 0.869, 0.606)



Entry 3:
For Li2V3CoO8, the GGA+U geometry in the Materials Project gives the calculated powder diffractogram in this record (λ = 1.5418 Å (Cu Kα)).

The 8 most intense peaks (10 to 90 degrees two-theta), most intense first:
| 2θ (°) | intensity |
| --- | --- |
| 18.24 | 100.0 |
| 35.48 | 77.2 |
| 35.41 | 75.2 |
| 43.06 | 52.1 |
| 21.14 | 49.5 |
| 56.89 | 46.4 |
| 30.03 | 45.9 |
| 62.64 | 38.8 |

abc: 5.952 5.952 5.952
angles: 59.77 59.77 59.77
Sites, in units of the cell vectors:
Li (0.000, 0.000, 0.000)
Li (0.381, 0.381, 0.381)
V (0.377, 0.377, 0.887)
V (0.377, 0.887, 0.377)
V (0.887, 0.377, 0.377)
Co (0.758, 0.758, 0.758)
O (0.128, 0.128, 0.591)
O (0.128, 0.591, 0.128)
O (0.138, 0.138, 0.138)
O (0.165, 0.630, 0.630)
O (0.591, 0.128, 0.128)
O (0.621, 0.621, 0.621)
O (0.630, 0.165, 0.630)
O (0.630, 0.630, 0.165)



Entry 4:
For Li2V3CoO8, the GGA+U geometry in the Materials Project gives the calculated powder diffractogram in this record (λ = 1.5418 Å (Cu Kα)).

The 8 most intense peaks (10 to 90 degrees two-theta), most intense first:
| 2θ (°) | intensity |
| --- | --- |
| 18.31 | 100.0 |
| 18.41 | 45.1 |
| 42.96 | 33.5 |
| 43.37 | 32.5 |
| 43.93 | 31.6 |
| 18.70 | 28.7 |
| 35.52 | 14.6 |
| 35.77 | 14.3 |

abc: 5.871 5.988 8.246
angles: 89.89 89.04 89.48
Sites, in units of the cell vectors:
Li (0.003, 0.249, 0.374)
Li (0.497, 0.249, 0.125)
Li (0.503, 0.751, 0.875)
Li (0.997, 0.751, 0.626)
V (0.000, 0.000, 0.000)
V (0.000, 0.500, 0.000)
V (0.250, 0.749, 0.251)
V (0.500, 0.000, 0.500)
V (0.500, 0.500, 0.500)
V (0.750, 0.251, 0.749)
Co (0.250, 0.247, 0.751)
Co (0.750, 0.753, 0.249)
O (0.000, 0.467, 0.755)
O (0.000, 0.533, 0.245)
O (0.009, 0.028, 0.761)
O (0.223, 0.243, 0.987)
O (0.229, 0.763, 0.015)
O (0.265, 0.760, 0.483)
O (0.281, 0.240, 0.511)
O (0.498, 0.027, 0.739)
O (0.498, 0.467, 0.745)
O (0.502, 0.533, 0.255)
O (0.502, 0.973, 0.261)
O (0.719, 0.760, 0.489)
O (0.735, 0.240, 0.517)
O (0.771, 0.237, 0.985)
O (0.777, 0.757, 0.013)
O (0.991, 0.972, 0.239)



Entry 5:
For Li2V3CoO8, the GGA+U geometry in the Materials Project gives the calculated powder diffractogram in this record (λ = 1.5418 Å (Cu Kα)).

The 8 most intense peaks (10 to 90 degrees two-theta), most intense first:
| 2θ (°) | intensity |
| --- | --- |
| 18.44 | 100.0 |
| 43.56 | 49.1 |
| 18.51 | 31.3 |
| 35.86 | 25.3 |
| 43.28 | 25.0 |
| 35.74 | 20.1 |
| 35.63 | 15.2 |
| 63.00 | 14.6 |

abc: 8.304 8.316 8.361
angles: 89.97 89.75 89.72
Sites, in units of the cell vectors:
Li (0.000, 0.000, 0.000)
Li (0.005, 0.497, 0.506)
Li (0.250, 0.744, 0.749)
Li (0.256, 0.248, 0.247)
Li (0.498, 0.493, 0.004)
Li (0.506, 0.994, 0.500)
Li (0.750, 0.747, 0.255)
Li (0.757, 0.244, 0.754)
V (0.124, 0.123, 0.634)
V (0.128, 0.860, 0.383)
V (0.129, 0.616, 0.123)
V (0.372, 0.381, 0.625)
V (0.379, 0.124, 0.880)
V (0.382, 0.869, 0.132)
V (0.625, 0.374, 0.369)
V (0.632, 0.621, 0.626)
V (0.633, 0.876, 0.876)
V (0.875, 0.118, 0.374)
V (0.880, 0.370, 0.124)
V (0.885, 0.618, 0.871)
Co (0.126, 0.371, 0.875)
Co (0.377, 0.621, 0.378)
Co (0.628, 0.118, 0.129)
Co (0.879, 0.871, 0.628)
O (0.111, 0.102, 0.385)
O (0.112, 0.607, 0.878)
O (0.114, 0.884, 0.615)
O (0.124, 0.383, 0.105)
O (0.133, 0.138, 0.862)
O (0.136, 0.358, 0.642)
O (0.141, 0.639, 0.372)
O (0.150, 0.865, 0.138)
O (0.358, 0.137, 0.631)
O (0.361, 0.362, 0.860)
O (0.368, 0.857, 0.366)
O (0.370, 0.635, 0.147)
O (0.381, 0.603, 0.613)
O (0.388, 0.386, 0.387)
O (0.394, 0.108, 0.116)
O (0.400, 0.877, 0.886)
O (0.609, 0.607, 0.387)
O (0.613, 0.885, 0.116)
O (0.615, 0.376, 0.606)
O (0.625, 0.108, 0.898)
O (0.631, 0.353, 0.146)
O (0.644, 0.860, 0.639)
O (0.646, 0.129, 0.366)
O (0.647, 0.630, 0.866)
O (0.862, 0.861, 0.864)
O (0.863, 0.130, 0.141)
O (0.867, 0.358, 0.367)
O (0.876, 0.640, 0.639)
O (0.888, 0.613, 0.112)
O (0.891, 0.383, 0.887)
O (0.891, 0.880, 0.396)
O (0.894, 0.107, 0.613)



Entry 6:
For Li2V3CoO8, the GGA+U geometry in the Materials Project gives the calculated powder diffractogram in this record (λ = 1.5418 Å (Cu Kα)).

The 8 most intense peaks (10 to 90 degrees two-theta), most intense first:
| 2θ (°) | intensity |
| --- | --- |
| 35.40 | 100.0 |
| 62.47 | 52.4 |
| 18.27 | 40.9 |
| 56.89 | 40.3 |
| 43.02 | 36.5 |
| 30.05 | 23.5 |
| 21.13 | 23.2 |
| 23.66 | 21.5 |

abc: 8.409 8.410 8.411
angles: 90.02 90.05 90.01
Sites, in units of the cell vectors:
Li (0.000, 0.000, 0.000)
Li (0.004, 0.500, 0.496)
Li (0.126, 0.122, 0.622)
Li (0.378, 0.874, 0.122)
Li (0.500, 0.496, 0.996)
Li (0.504, 0.996, 0.500)
Li (0.626, 0.373, 0.374)
Li (0.878, 0.622, 0.874)
V (0.127, 0.370, 0.869)
V (0.130, 0.627, 0.123)
V (0.133, 0.874, 0.369)
V (0.373, 0.122, 0.869)
V (0.373, 0.368, 0.622)
V (0.379, 0.626, 0.367)
V (0.626, 0.127, 0.128)
V (0.631, 0.622, 0.626)
V (0.631, 0.868, 0.875)
V (0.873, 0.374, 0.126)
V (0.874, 0.127, 0.373)
V (0.878, 0.869, 0.627)
Co (0.251, 0.249, 0.246)
Co (0.253, 0.747, 0.747)
Co (0.751, 0.247, 0.749)
Co (0.753, 0.749, 0.249)
O (0.107, 0.108, 0.369)
O (0.112, 0.870, 0.604)
O (0.115, 0.386, 0.111)
O (0.122, 0.856, 0.146)
O (0.130, 0.603, 0.889)
O (0.140, 0.636, 0.360)
O (0.143, 0.147, 0.878)
O (0.151, 0.378, 0.639)
O (0.354, 0.618, 0.139)
O (0.361, 0.850, 0.378)
O (0.364, 0.360, 0.860)
O (0.374, 0.392, 0.388)
O (0.382, 0.138, 0.647)
O (0.391, 0.610, 0.609)
O (0.392, 0.126, 0.103)
O (0.397, 0.888, 0.870)
O (0.608, 0.388, 0.626)
O (0.612, 0.626, 0.391)
O (0.614, 0.110, 0.887)
O (0.622, 0.638, 0.849)
O (0.630, 0.891, 0.108)
O (0.640, 0.860, 0.636)
O (0.643, 0.349, 0.118)
O (0.651, 0.118, 0.357)
O (0.854, 0.878, 0.857)
O (0.861, 0.646, 0.618)
O (0.864, 0.136, 0.136)
O (0.875, 0.103, 0.607)
O (0.882, 0.357, 0.349)
O (0.890, 0.885, 0.385)
O (0.893, 0.370, 0.893)
O (0.895, 0.608, 0.127)